Theoretical powder XRD pattern
Compound: La2GaPt
Radiation: Cu Kα, 1.54184 Å
Structure: a structure optimized by DFT (PBE)
Neutral-atom scattering factors, no anomalous dispersion.

Atomic structure:
a b c (Å): 4.4572 6.0895 6.0895
angles (deg): 40.02 90.00 90.00
Sites, in units of the cell vectors:
1 La 0.0000 0.0000 0.0000
2 La 0.5000 0.2774 0.2774
3 Ga 0.5000 0.5702 0.5702
4 Pt 0.0000 0.7195 0.7195

The 8 most intense peaks (10 to 80 degrees two-theta), most intense first:
two_theta, I (rel.)
30.38, 100
37.81, 74
60.87, 32
31.80, 31
37.35, 28
40.48, 28
31.26, 26
43.43, 23